(1)
Structure and theoretical powder XRD pattern of MnB4Mo3 (the PBE geometry in the Materials Project; a wavelength of 1.5418 Å).
Kinematic intensities with the Lorentz-polarization factor, no thermal factor.

Crystal structure
Lattice parameters (Å, degrees): 4.4831 3.0604 6.2363 90.00 110.32 90.00
Element x y z (fractional)
Mn 0.0000 0.0000 0.0000
B 0.1410 0.5000 0.7964
B 0.1466 0.5000 0.2755
B 0.3835 0.0000 0.8512
B 0.3869 0.0000 0.3426
Mo 0.5630 0.5000 0.6463
Mo 0.5671 0.5000 0.1370
Mo 0.9807 0.0000 0.4953

The 10 most intense peaks (2θ = 10–90°), in order of falling intensity:
Position (°2θ), I (rel.)
42.77, 100
36.31, 99
43.41, 64
30.58, 55
43.03, 28
70.70, 26
71.53, 26
77.36, 22
53.16, 18
60.50, 16

(2)
Structure and theoretical powder XRD pattern of DyV2Fe5Co5 (the PBE geometry in the Materials Project; a wavelength of 1.5418 Å).
Kinematic intensities with the Lorentz-polarization factor, no thermal factor.

Crystal structure
Lattice parameters (Å, degrees): 6.3654 6.3654 6.3654 137.11 97.95 97.42
Element x y z (fractional)
Dy 0.0000 0.0000 0.0000
V 0.3599 0.3599 0.0000
V 0.6434 0.6434 0.0000
Fe 0.0001 0.0018 0.4991
Fe 0.0001 0.5009 0.9983
Fe 0.2262 0.7262 0.5000
Fe 0.5027 0.0018 0.0017
Fe 0.5027 0.5009 0.5009
Co 0.2268 0.5018 0.7250
Co 0.3590 0.0000 0.3590
Co 0.6411 0.0000 0.6410
Co 0.7772 0.2772 0.5000
Co 0.7769 0.5018 0.2750

The 10 most intense peaks (2θ = 10–90°), in order of falling intensity:
Position (°2θ), I (rel.)
43.53, 100
44.54, 67
30.63, 42
43.07, 32
43.31, 27
49.83, 23
37.48, 21
37.63, 21
73.38, 20
38.69, 16